# 1
The following is a theoretical X-ray powder pattern of SrNi3Se4O12. It was derived from a PBE+U-relaxed structure, using λ = 1.5418 Å (Cu Kα).
Lines closer than 0.1° are merged.

Principal peaks in the range 2θ from 10° to 80°, sorted by position:
| Position (°2θ) | d (Å) | intensity |
| --- | --- | --- |
| 27.0 | 3.306 | 37 |
| 27.7 | 3.223 | 13 |
| 29.5 | 3.026 | 100 |
| 32.1 | 2.791 | 32 |
| 35.4 | 2.535 | 25 |
| 38.4 | 2.347 | 13 |
| 47.2 | 1.926 | 12 |
| 50.7 | 1.800 | 20 |
| 52.9 | 1.731 | 15 |
| 54.1 | 1.695 | 15 |
| 56.3 | 1.635 | 14 |
| 59.7 | 1.548 | 20 |

a b c (Å): 6.9454 6.9454 6.9454
angles (deg): 106.97 106.97 106.97
Fractional coordinates of all 20 atoms:
Sr: 0.0000 0.0000 0.0000
Ni: 0.0000 0.5652 0.4348
Ni: 0.4348 0.0000 0.5652
Ni: 0.5652 0.4348 0.0000
Se: 0.0575 0.5000 0.9425
Se: 0.5000 0.5000 0.5000
Se: 0.5000 0.9425 0.0575
Se: 0.9425 0.0575 0.5000
O: 0.0491 0.6512 0.7672
O: 0.1060 0.8940 0.5000
O: 0.2328 0.3488 0.9509
O: 0.3348 0.6652 0.5000
O: 0.3488 0.9509 0.2328
O: 0.5000 0.1060 0.8940
O: 0.5000 0.3348 0.6652
O: 0.6512 0.7672 0.0491
O: 0.6652 0.5000 0.3348
O: 0.7672 0.0491 0.6512
O: 0.8940 0.5000 0.1060
O: 0.9509 0.2328 0.3488

***

# 2
The following is a theoretical X-ray powder pattern of Sr2NiSe3O9. It was derived from a PBE+U-relaxed structure, using λ = 1.5418 Å (Cu Kα).
Lines closer than 0.1° are merged.

Principal peaks in the range 2θ from 10° to 80°, sorted by position:
| Position (°2θ) | d (Å) | intensity |
| --- | --- | --- |
| 26.4 | 3.374 | 95 |
| 27.1 | 3.290 | 21 |
| 27.4 | 3.256 | 19 |
| 27.7 | 3.222 | 23 |
| 28.5 | 3.134 | 34 |
| 28.9 | 3.087 | 62 |
| 29.9 | 2.989 | 100 |
| 30.3 | 2.948 | 25 |
| 31.1 | 2.873 | 32 |
| 31.7 | 2.822 | 36 |
| 32.0 | 2.801 | 21 |
| 39.6 | 2.278 | 19 |

a b c (Å): 7.4404 7.7299 8.8370
angles (deg): 103.11 105.44 95.37
Fractional coordinates of all 30 atoms:
Sr: 0.1276 0.4820 0.3065
Sr: 0.2516 0.9112 0.1116
Sr: 0.7484 0.0888 0.8884
Sr: 0.8724 0.5180 0.6935
Ni: 0.4073 0.6651 0.7487
Ni: 0.5927 0.3349 0.2513
Se: 0.1413 0.9152 0.7063
Se: 0.2657 0.3636 0.9123
Se: 0.4065 0.2139 0.5450
Se: 0.5935 0.7861 0.4550
Se: 0.7343 0.6364 0.0877
Se: 0.8587 0.0848 0.2937
O: 0.0080 0.1224 0.1805
O: 0.0249 0.2994 0.8520
O: 0.1365 0.6955 0.5993
O: 0.2748 0.5913 0.9123
O: 0.3247 0.3601 0.1148
O: 0.3369 0.4238 0.5735
O: 0.3587 0.9420 0.8522
O: 0.3685 0.7495 0.3275
O: 0.4358 0.1851 0.3544
O: 0.5642 0.8149 0.6456
O: 0.6315 0.2505 0.6725
O: 0.6413 0.0580 0.1478
O: 0.6631 0.5762 0.4265
O: 0.6753 0.6399 0.8852
O: 0.7252 0.4087 0.0877
O: 0.8635 0.3045 0.4007
O: 0.9751 0.7006 0.1480
O: 0.9920 0.8776 0.8195

***

# 3
The following is a theoretical X-ray powder pattern of TlNiSe2O8. It was derived from a PBE+U-relaxed structure, using λ = 1.5418 Å (Cu Kα).
Lines closer than 0.1° are merged.

Principal peaks in the range 2θ from 10° to 80°, sorted by position:
| Position (°2θ) | d (Å) | intensity |
| --- | --- | --- |
| 20.8 | 4.263 | 14 |
| 25.3 | 3.518 | 100 |
| 27.7 | 3.223 | 12 |
| 35.9 | 2.501 | 37 |
| 36.3 | 2.475 | 27 |
| 37.7 | 2.388 | 11 |
| 44.4 | 2.038 | 20 |
| 52.0 | 1.759 | 11 |
| 58.4 | 1.580 | 19 |
| 59.0 | 1.567 | 15 |
| 64.5 | 1.444 | 11 |
| 64.8 | 1.439 | 11 |

a b c (Å): 8.5426 8.5426 8.5426
angles (deg): 34.05 34.05 34.05
Fractional coordinates of all 12 atoms:
Tl: 0.0000 0.0000 0.0000
Ni: 0.5000 0.5000 0.5000
Se: 0.2376 0.2376 0.2376
Se: 0.7624 0.7624 0.7624
O: 0.1117 0.7641 0.4688
O: 0.2359 0.5312 0.8883
O: 0.3080 0.3080 0.3080
O: 0.4688 0.1117 0.7641
O: 0.5312 0.8883 0.2359
O: 0.6920 0.6920 0.6920
O: 0.7641 0.4688 0.1117
O: 0.8883 0.2359 0.5312

***

# 4
The following is a theoretical X-ray powder pattern of Tl3NiSe2O6. It was derived from a PBE+U-relaxed structure, using λ = 1.5418 Å (Cu Kα).
Lines closer than 0.1° are merged.

Principal peaks in the range 2θ from 10° to 80°, sorted by position:
| Position (°2θ) | d (Å) | intensity |
| --- | --- | --- |
| 21.1 | 4.217 | 46 |
| 29.1 | 3.069 | 100 |
| 30.8 | 2.902 | 95 |
| 34.7 | 2.583 | 11 |
| 37.6 | 2.391 | 21 |
| 42.9 | 2.109 | 44 |
| 47.1 | 1.930 | 17 |
| 53.7 | 1.706 | 36 |
| 54.8 | 1.675 | 19 |
| 57.2 | 1.611 | 18 |
| 64.2 | 1.451 | 15 |
| 72.0 | 1.312 | 16 |

a b c (Å): 5.8039 5.8039 7.7501
angles (deg): 90.00 90.00 120.00
Fractional coordinates of all 12 atoms:
Tl: 0.0000 0.0000 0.0000
Tl: 0.3333 0.6667 0.7019
Tl: 0.6667 0.3333 0.2981
Ni: 0.0000 0.0000 0.5000
Se: 0.3333 0.6667 0.2487
Se: 0.6667 0.3333 0.7513
O: 0.1750 0.3501 0.3402
O: 0.1750 0.8250 0.3402
O: 0.3501 0.1750 0.6598
O: 0.6499 0.8250 0.3402
O: 0.8250 0.1750 0.6598
O: 0.8250 0.6499 0.6598